1.
Calculated XRD peak list
Compound: UH2Se2O9
Radiation: Cu Kα (weighted mean of Kα1 and Kα2)
Structure: a DFT-relaxed cell (GGA-PBE, the Materials Project)
Kinematic intensities with the Lorentz-polarization factor, no thermal factor.

```
UH2Se2O9
1.0
5.3663 -6.4854 0.0000
5.3663 6.4854 0.0000
-0.3260 0.0000 5.9414
U H Se O
2 4 4 18
Cartesian
5.1218 3.9809 4.4561
5.2848 -3.9809 1.4854
0.3700 0.5290 4.9766
0.5330 -0.5290 2.0059
9.8736 0.5290 3.9355
10.0366 -0.5290 0.9648
3.3662 1.0613 0.2922
3.2033 -1.0613 3.2629
7.2034 1.0613 2.6785
7.0404 -1.0613 5.6492
5.1218 6.4340 4.4561
1.7557 1.5615 0.0932
4.1018 4.0469 2.9750
3.9660 2.1933 5.3809
1.5927 -1.5615 3.0639
6.1419 4.0469 5.9371
3.4701 0.4430 2.5276
3.3071 -0.4430 5.4983
6.2776 2.1933 3.5312
4.1290 -2.1933 2.4102
7.0995 0.4430 0.4431
6.9365 -0.4430 3.4138
4.2648 -4.0469 0.0043
8.8139 1.5615 2.8775
6.4406 -2.1933 0.5605
6.3048 -4.0469 2.9664
8.6509 -1.5615 5.8482
5.2848 -6.4340 1.4854
```

Most intense lines, 2θ = 10–90°, most intense first:
2θ 18.76, I = 100
2θ 21.51, I = 46
2θ 26.56, I = 41
2θ 22.17, I = 32
2θ 20.27, I = 32
2θ 25.87, I = 31
2θ 35.33, I = 27
2θ 29.28, I = 26
2θ 25.74, I = 24
2θ 45.90, I = 22

2.
Calculated XRD peak list
Compound: Tb2Zn17
Radiation: Cu Kα (weighted mean of Kα1 and Kα2)
Structure: a DFT-relaxed cell (GGA-PBE, the Materials Project)
Kinematic intensities with the Lorentz-polarization factor, no thermal factor.

```
Tb2Zn17
1.0
4.4878 2.5910 4.4072
-4.4878 2.5910 4.4072
0.0000 -5.1820 4.4072
Tb Zn
2 17
Cartesian
0.0000 0.0000 2.1835
0.0000 0.0000 11.0381
-2.2439 -1.2955 4.4072
0.0000 -2.6598 4.2231
-2.3035 1.3299 4.2231
-1.3321 -2.3073 6.6108
-2.6642 0.0000 6.6108
-2.3035 -1.3299 8.9985
0.0000 0.0000 5.2874
-2.2439 1.2955 8.8144
1.3321 -2.3073 6.6108
0.0000 2.5910 4.4072
-1.3321 2.3073 6.6108
0.0000 0.0000 7.9342
2.3035 1.3299 4.2231
2.6642 0.0000 6.6108
1.3321 2.3073 6.6108
2.3035 -1.3299 8.9985
0.0000 2.6598 8.9985
```

Most intense lines, 2θ = 10–90°, most intense first:
2θ 40.38, I = 100
2θ 40.19, I = 59
2θ 34.62, I = 39
2θ 40.96, I = 33
2θ 45.35, I = 28
2θ 28.38, I = 28
2θ 35.66, I = 24
2θ 73.02, I = 23
2θ 41.30, I = 21
2θ 74.21, I = 20

3.
Calculated XRD peak list
Compound: CaAg2O4
Radiation: Cu Kα (weighted mean of Kα1 and Kα2)
Structure: a DFT-relaxed cell (GGA-PBE, the Materials Project)
Kinematic intensities with the Lorentz-polarization factor, no thermal factor.

```
CaAg2O4
1.0
6.6381 0.0000 0.0000
-3.3190 5.7487 0.0000
0.0000 0.0000 16.2159
Ca Ag O
6 12 24
Cartesian
0.0000 0.0000 0.0000
0.0000 0.0000 3.7113
0.0000 0.0000 10.0105
0.0000 3.8325 9.0249
3.3190 1.9162 4.5655
3.3190 1.9162 14.3591
0.0000 1.9196 12.6571
-1.6566 4.7889 12.6571
1.6530 0.9544 7.2729
0.0000 3.8325 5.3582
0.0000 3.8325 15.3936
3.3190 0.0255 1.8589
1.6816 2.8616 1.8589
1.6566 4.7889 12.6571
3.3190 1.9162 10.7164
4.9850 0.9544 7.2729
3.3190 3.8399 7.2729
4.9565 2.8616 1.8589
0.0000 0.0000 5.9262
0.0000 0.0000 13.9721
-1.4074 3.0199 13.7840
0.0000 1.6737 8.3732
-1.8696 4.9119 8.3732
0.0000 2.1784 0.7764
-1.4324 4.6595 0.7764
1.5171 0.8759 11.6192
0.0000 3.8325 3.2375
0.0000 3.8325 11.2968
1.8439 1.0646 2.9353
1.4074 3.0199 13.7840
0.0000 5.4576 13.7840
3.3190 0.2058 6.2332
1.8377 2.7715 6.2332
1.4324 4.6595 0.7764
3.3190 1.9162 0.4133
3.3190 1.9162 8.6084
1.8696 4.9119 8.3732
4.7942 1.0646 2.9353
3.3190 3.6196 2.9353
5.1209 0.8759 11.6192
3.3190 3.9969 11.6192
4.8003 2.7715 6.2332
```

Most intense lines, 2θ = 10–90°, most intense first:
2θ 31.63, I = 100
2θ 16.38, I = 42
2θ 50.57, I = 35
2θ 33.08, I = 28
2θ 38.39, I = 26
2θ 55.36, I = 22
2θ 55.47, I = 20
2θ 26.90, I = 18
2θ 65.18, I = 10
2θ 66.05, I = 9

4.
Calculated XRD peak list
Compound: CeInRh
Radiation: Cu Kα (weighted mean of Kα1 and Kα2)
Structure: a DFT-relaxed cell (GGA-PBE, the Materials Project)
Kinematic intensities with the Lorentz-polarization factor, no thermal factor.

```
CeInRh
1.0
7.5773 0.0000 0.0000
-3.7886 6.5621 0.0000
0.0000 0.0000 4.0265
Ce In Rh
3 3 3
Cartesian
-1.5673 2.7147 0.0000
3.1346 0.0000 0.0000
2.2213 3.8474 0.0000
-2.8419 4.9223 2.0132
0.9467 1.6398 2.0132
5.6838 0.0000 2.0132
0.0000 0.0000 0.0000
0.0000 4.3747 2.0132
3.7886 2.1874 2.0132
```

Most intense lines, 2θ = 10–90°, most intense first:
2θ 35.29, I = 100
2θ 32.45, I = 97
2θ 36.22, I = 54
2θ 41.27, I = 31
2θ 66.28, I = 31
2θ 45.03, I = 28
2θ 42.82, I = 26
2θ 59.10, I = 25
2θ 62.72, I = 18
2θ 55.40, I = 18

5.
Calculated XRD peak list
Compound: K2AlTlI6
Radiation: Cu Kα (weighted mean of Kα1 and Kα2)
Structure: a DFT-relaxed cell (GGA-PBE, the Materials Project)
Kinematic intensities with the Lorentz-polarization factor, no thermal factor.

```
K2AlTlI6
1.0
0.0000 6.0995 6.0995
6.0995 0.0000 6.0995
6.0995 6.0995 0.0000
K Al Tl I
2 1 1 6
Cartesian
3.0497 3.0497 3.0497
9.1492 9.1492 9.1492
0.0000 0.0000 0.0000
6.0995 6.0995 6.0995
6.0995 6.0995 2.7800
6.0995 2.7800 6.0995
9.4189 6.0995 6.0995
2.7800 6.0995 6.0995
6.0995 9.4189 6.0995
6.0995 6.0995 9.4189
```

Most intense lines, 2θ = 10–90°, most intense first:
2θ 29.28, I = 100
2θ 14.52, I = 82
2θ 41.89, I = 69
2θ 25.29, I = 63
2θ 32.83, I = 38
2θ 31.98, I = 35
2θ 24.20, I = 25
2θ 68.84, I = 25
2θ 51.93, I = 22
2θ 58.08, I = 22